Structure and computed X-ray powder pattern of Li7Mn5O12 (DFT lattice parameters and positions (PBE+U); Cu Kα (weighted mean of Kα1 and Kα2)).
Lines closer than 0.1° are merged.

Unit cell a=5.9668 b=5.9951 c=6.5436 alpha=76.60 beta=75.46 gamma=86.29
Space group P-1 (No. 2)
Asymmetric unit:
Li  0.0000  0.0000  0.0000 [1 per cell]
Li  0.0000  0.5000  0.0000 [1 per cell]
Li  0.3341  0.3389  0.6704 [2 per cell]
Li  0.3354  0.8235  0.6800 [2 per cell]
Li  0.5000  0.5000  0.0000 [1 per cell]
Mn  0.1731  0.6686  0.3339 [2 per cell]
Mn  0.1744  0.1760  0.3278 [2 per cell]
Mn  0.5000  0.0000  0.0000 [1 per cell]
O  0.0663  0.0879  0.6477 [2 per cell]
O  0.0780  0.6022  0.6604 [2 per cell]
O  0.2562  0.2334  0.0117 [2 per cell]
O  0.2701  0.7712  0.0191 [2 per cell]
O  0.3915  0.4170  0.3406 [2 per cell]
O  0.4208  0.9445  0.3136 [2 per cell]

Top 6 peaks for 15 to 90 degrees two-theta, most intense first:
| 2θ/deg | I (rel.) | h k l |
| --- | --- | --- |
| 18.31 | 100 | 1 0 1 |
| 41.38 | 34 | 2 2 1 |
| 44.00 | 30 | 0 0 3 |
| 44.30 | 28 | 2 -2 0 |
| 62.07 | 16 | 0 4 1 |
| 34.36 | 16 | 1 2 0 |



Structure and computed X-ray powder pattern of LiV3Zn2O8 (DFT lattice parameters and positions (PBE+U); Cu Kα (weighted mean of Kα1 and Kα2)).
Lines closer than 0.1° are merged.

Unit cell a=5.9797 b=5.9966 c=10.3031 alpha=90.01 beta=106.72 gamma=119.85
Space group P-1 (No. 2)
Asymmetric unit:
Li  0.0093  0.2514  0.2501 [2 per cell]
V  0.0000  0.0000  0.0000 [1 per cell]
V  0.0000  0.0000  0.5000 [1 per cell]
V  0.0000  0.5000  0.0000 [1 per cell]
V  0.0000  0.5000  0.5000 [1 per cell]
V  0.5000  0.0000  0.0000 [1 per cell]
V  0.5000  0.5000  0.5000 [1 per cell]
Zn  0.3794  0.4382  0.8203 [2 per cell]
Zn  0.3814  0.9390  0.3207 [2 per cell]
O  0.2118  0.8669  0.6084 [2 per cell]
O  0.2174  0.3586  0.1081 [2 per cell]
O  0.2300  0.8638  0.1143 [2 per cell]
O  0.2357  0.1028  0.8917 [2 per cell]
O  0.2369  0.6329  0.8915 [2 per cell]
O  0.2473  0.3638  0.6138 [2 per cell]
O  0.2518  0.1424  0.3924 [2 per cell]
O  0.2601  0.6040  0.3919 [2 per cell]

Top 6 peaks for 15 to 90 degrees two-theta, most intense first:
| 2θ/deg | I (rel.) | h k l |
| --- | --- | --- |
| 35.19 | 100 | 2 -2 0 |
| 29.94 | 55 | 1 0 2 |
| 35.05 | 35 | 0 2 0 |
| 35.32 | 31 | 1 -1 3 |
| 61.87 | 24 | 2 2 -2 |
| 29.99 | 24 | -1 1 3 |



Structure and computed X-ray powder pattern of Li3FeO4 (DFT lattice parameters and positions (PBE+U); Cu Kα (weighted mean of Kα1 and Kα2)).
Lines closer than 0.1° are merged.

Unit cell a=8.2379 b=8.2379 c=8.2379 alpha=90.00 beta=90.00 gamma=90.00
Space group I-43m (No. 217)
Asymmetric unit:
Li  0.1215  0.3728  0.6272 [24 per cell]
Fe  0.1323  0.1323  0.8677 [8 per cell]
O  0.1121  0.1121  0.1121 [8 per cell]
O  0.1233  0.1233  0.6485 [24 per cell]

Top 6 peaks for 15 to 90 degrees two-theta, most intense first:
| 2θ/deg | I (rel.) | h k l |
| --- | --- | --- |
| 15.21 | 100 | 1 1 0 |
| 26.50 | 75 | 2 1 1 |
| 43.97 | 69 | 4 0 0 |
| 63.93 | 34 | 4 4 0 |
| 34.43 | 22 | 3 1 0 |
| 61.67 | 19 | 5 2 1 |



Structure and computed X-ray powder pattern of Sr2MgFeOsO6 (DFT lattice parameters and positions (PBE+U); Cu Kα (weighted mean of Kα1 and Kα2)).
Lines closer than 0.1° are merged.

Unit cell a=8.0389 b=9.6729 c=5.6748 alpha=90.00 beta=134.33 gamma=90.00
Space group C2/m (No. 12)
Asymmetric unit:
Sr  0.0000  0.1753  0.0000 [4 per cell]
Mg  0.0000  0.5000  0.0000 [2 per cell]
Fe  0.0000  0.5000  0.5000 [2 per cell]
Os  0.0000  0.0000  0.5000 [2 per cell]
O  0.0000  0.2087  0.5000 [4 per cell]
O  0.2409  0.5000  0.4900 [4 per cell]
O  0.2465  0.5000  0.9974 [4 per cell]

Top 6 peaks for 15 to 90 degrees two-theta, most intense first:
| 2θ/deg | I (rel.) | h k l |
| --- | --- | --- |
| 17.95 | 100 | 1 1 0 |
| 28.71 | 82 | 0 2 1 |
| 28.88 | 81 | 2 2 -1 |
| 31.92 | 66 | 1 3 -1 |
| 31.10 | 66 | 2 0 0 |
| 45.09 | 66 | 4 0 -2 |



Structure and computed X-ray powder pattern of FeOF (DFT lattice parameters and positions (PBE+U); Cu Kα (weighted mean of Kα1 and Kα2)).
Lines closer than 0.1° are merged.

Unit cell a=4.6669 b=3.0546 c=9.3264 alpha=90.00 beta=90.58 gamma=90.00
Space group Pm (No. 6)
Asymmetric unit:
Fe  0.0000  0.0000  0.0000 [1 per cell]
Fe  0.0032  0.0000  0.5127 [1 per cell]
Fe  0.5052  0.5000  0.7868 [1 per cell]
Fe  0.5845  0.5000  0.2611 [1 per cell]
O  0.2182  0.5000  0.9164 [1 per cell]
O  0.6999  0.0000  0.8529 [1 per cell]
O  0.7251  0.0000  0.3772 [1 per cell]
O  0.8351  0.5000  0.1101 [1 per cell]
F  0.2023  0.5000  0.4227 [1 per cell]
F  0.2994  0.0000  0.6578 [1 per cell]
F  0.3338  0.0000  0.1839 [1 per cell]
F  0.8174  0.5000  0.6118 [1 per cell]

Top 6 peaks for 15 to 90 degrees two-theta, most intense first:
| 2θ/deg | I (rel.) | h k l |
| --- | --- | --- |
| 35.12 | 100 | 1 1 0 |
| 26.89 | 94 | 1 0 -2 |
| 27.17 | 93 | 1 0 2 |
| 53.01 | 53 | 1 1 -4 |
| 53.33 | 50 | 1 1 4 |
| 67.64 | 29 | 0 1 6 |



Structure and computed X-ray powder pattern of VCuO3 (DFT lattice parameters and positions (PBE+U); Cu Kα (weighted mean of Kα1 and Kα2)).
Lines closer than 0.1° are merged.

Unit cell a=11.2006 b=3.1963 c=5.0070 alpha=90.00 beta=115.32 gamma=90.00
Space group Cm (No. 8)
Asymmetric unit:
V  0.0000  0.0000  0.0000 [2 per cell]
Cu  0.1574  0.5000  0.6525 [2 per cell]
O  0.0363  0.5000  0.2113 [2 per cell]
O  0.0976  0.0000  0.8103 [2 per cell]
O  0.3411  0.5000  0.7539 [2 per cell]

Top 6 peaks for 15 to 90 degrees two-theta, most intense first:
| 2θ/deg | I (rel.) | h k l |
| --- | --- | --- |
| 33.26 | 100 | 1 1 -1 |
| 17.52 | 100 | 2 0 0 |
| 19.61 | 68 | 0 0 1 |
| 19.95 | 61 | 2 0 -1 |
| 31.65 | 46 | 2 0 1 |
| 32.31 | 41 | 4 0 -1 |



Structure and computed X-ray powder pattern of V3CoO8 (DFT lattice parameters and positions (PBE+U); Cu Kα (weighted mean of Kα1 and Kα2)).
Lines closer than 0.1° are merged.

Unit cell a=5.5853 b=5.5924 c=7.3473 alpha=89.47 beta=89.50 gamma=89.94
Space group P1 (No. 1)
Asymmetric unit:
V  0.0000  0.0000  0.0000 [1 per cell]
V  0.0126  0.4967  0.2536 [1 per cell]
V  0.5117  0.6314  0.5060 [1 per cell]
Co  0.5018  0.1317  0.7559 [1 per cell]
O  0.0659  0.1890  0.1901 [1 per cell]
O  0.0734  0.6950  0.0636 [1 per cell]
O  0.1667  0.0855  0.8177 [1 per cell]
O  0.2063  0.5847  0.4365 [1 per cell]
O  0.5601  0.9240  0.5513 [1 per cell]
O  0.5629  0.4636  0.6947 [1 per cell]
O  0.7030  0.5363  0.3221 [1 per cell]
O  0.7052  0.0288  0.9527 [1 per cell]

Top 6 peaks for 15 to 90 degrees two-theta, most intense first:
| 2θ/deg | I (rel.) | h k l |
| --- | --- | --- |
| 19.88 | 100 | 1 0 1 |
| 20.05 | 99 | 1 0 -1 |
| 32.03 | 38 | 2 0 0 |
| 33.31 | 18 | 1 -1 2 |
| 28.96 | 10 | 0 1 2 |
| 38.13 | 9 | 1 -2 1 |